Entry 1:
Calculated PXRD pattern of P3Pb5O12F for Cu Kα, 1.54184 Å, from a GGA-PBE-relaxed structure.
Intensities are scaled so that the largest is 100.

The 10 most intense peaks (2θ = 10–90°), in order of rising 2θ:
2theta, d [Å], I_rel, h k l
21.6, 4.109, 29.8, 1 1 1
26.3, 3.383, 43.3, 1 0 2
27.5, 3.242, 45.4, 1 2 0
30.1, 2.967, 100.0, 1 2 1
30.3, 2.954, 78.3, 1 1 2
31.3, 2.860, 32.2, 3 0 0
44.1, 2.055, 35.8, 2 2 2
46.4, 1.957, 32.3, 2 1 3
48.6, 1.872, 32.5, 1 4 0
49.2, 1.853, 31.6, 4 0 2

Atomic structure:
abc: 9.9056 9.9056 7.3621
angles: 90.00 90.00 120.00
Space group P6_3 (No. 173)
Inequivalent atoms, fractional coordinates:
P  0.0238  0.6190  0.0000 [6 per cell]
Pb  0.0057  0.2362  0.9979 [6 per cell]
Pb  0.3333  0.6667  0.2520 [2 per cell]
Pb  0.3333  0.6667  0.7479 [2 per cell]
O  0.0827  0.7276  0.1705 [6 per cell]
O  0.0837  0.7279  0.8302 [6 per cell]
O  0.1012  0.5141  0.0000 [6 per cell]
O  0.1568  0.4831  0.4997 [6 per cell]
F  0.0000  0.0000  0.2900 [2 per cell]

---

Entry 2:
Calculated PXRD pattern of HoFe2Ge2 for Cu Kα, 1.54184 Å, from a GGA-PBE-relaxed structure.
Intensities are scaled so that the largest is 100.

The 10 most intense peaks (2θ = 10–90°), in order of rising 2θ:
2theta, d [Å], I_rel, h k l
32.2, 2.779, 30.0, 1 1 0
33.9, 2.645, 88.1, 1 0 3
36.4, 2.468, 100.0, 1 1 2
46.2, 1.965, 53.6, 2 0 0
48.3, 1.883, 43.6, 1 0 5
58.5, 1.577, 36.5, 2 1 3
67.4, 1.390, 16.7, 2 2 0
69.1, 1.360, 29.6, 2 1 5
79.1, 1.211, 19.6, 3 1 2
88.2, 1.108, 15.4, 2 0 8

Atomic structure:
abc: 3.930 3.930 10.726
angles: 90.00 90.00 90.00
Space group I4/mmm (No. 139)
Inequivalent atoms, fractional coordinates:
Ho  0.000  0.000  0.000 [2 per cell]
Fe  0.000  0.500  0.250 [4 per cell]
Ge  0.000  0.000  0.383 [4 per cell]

---

Entry 3:
Calculated PXRD pattern of U3Al12Ru4 for Cu Kα, 1.54184 Å, from a GGA-PBE-relaxed structure.
Intensities are scaled so that the largest is 100.

The 10 most intense peaks (2θ = 10–90°), in order of rising 2θ:
2theta, d [Å], I_rel, h k l
14.9, 5.942, 74.6, 1 0 1
25.1, 3.544, 56.0, 2 0 1
30.1, 2.971, 75.7, 2 0 2
30.9, 2.890, 31.4, 2 1 0
36.5, 2.463, 100.0, 3 0 1
37.0, 2.430, 51.9, 2 0 3
38.1, 2.360, 29.3, 0 0 4
40.9, 2.207, 45.6, 2 2 0
45.8, 1.981, 24.0, 3 0 3
64.0, 1.455, 28.5, 5 0 2

Atomic structure:
abc: 8.8294 8.8294 9.4419
angles: 90.00 90.00 120.00
Space group P6_3/mmc (No. 194)
Inequivalent atoms, fractional coordinates:
U  0.2041  0.4082  0.2500 [6 per cell]
Al  0.0000  0.0000  0.2500 [2 per cell]
Al  0.1236  0.5618  0.7500 [6 per cell]
Al  0.1605  0.3210  0.5808 [12 per cell]
Al  0.3333  0.6667  0.0120 [4 per cell]
Ru  0.0000  0.0000  0.0000 [2 per cell]
Ru  0.0000  0.5000  0.0000 [6 per cell]